Calculated X-ray powder pattern
Compound: NaNbSnWO6
Radiation: CuKα
Structure: a GGA+U-relaxed structure
No peak broadening, texture or thermal motion is included.

Principal peaks in the range 2θ = 10–80°, low angle first:
2θ (°)  d [Å]  Rel. int.
18.99  4.674  236
21.96  4.048  227
31.25  2.862  1000
36.82  2.441  144
44.78  2.024  327
55.62  1.652  407
65.19  1.431  200
74.07  1.280  178

Unit cell a=5.724 b=5.724 c=5.724 alpha=60.00 beta=60.00 gamma=60.00
Positions (direct):
Na 0.000 0.000 0.000
Nb 0.750 0.750 0.750
Sn 0.500 0.500 0.500
W 0.250 0.250 0.250
O 0.501 0.501 0.999
O 0.501 0.999 0.501
O 0.501 0.999 0.999
O 0.999 0.501 0.501
O 0.999 0.501 0.999
O 0.999 0.999 0.501